Entry 1:
For CoCuSn6, DFT lattice parameters and positions (PBE) gives the computed powder X-ray diffraction pattern in this record (Cu Kα).

Largest 8 diffraction maxima, low angle first, 2θ = 10–90°:
2θ (°)	d (Å)	I/Imax
30.78	2.904	29
32.91	2.722	100
33.00	2.715	48
42.72	2.117	16
42.80	2.113	14
42.90	2.108	15
51.43	1.777	35
56.04	1.641	17

Structure:
a = 6.1539 Å, b = 6.1550 Å, c = 6.7953 Å
α = 63.32°, β = 63.28°, γ = 60.03°
Positions (direct):
Co (0.0000, 0.0000, 0.0000)
Cu (0.5000, 0.5000, 0.5000)
Sn (0.0444, 0.7701, 0.7486)
Sn (0.2353, 0.5636, 0.2459)
Sn (0.4332, 0.0485, 0.7508)
Sn (0.5668, 0.9515, 0.2492)
Sn (0.7647, 0.4364, 0.7541)
Sn (0.9556, 0.2299, 0.2514)

Entry 2:
For Mg3H4Ru, DFT lattice parameters and positions (PBE) gives the computed powder X-ray diffraction pattern in this record (Cu Kα).

Largest 8 diffraction maxima, low angle first, 2θ = 10–90°:
2θ (°)	d (Å)	I/Imax
20.28	4.379	100
23.40	3.801	33
24.02	3.706	38
37.06	2.426	87
38.15	2.359	29
38.27	2.352	58
43.59	2.077	26
57.43	1.605	18

Structure:
a = 4.7174 Å, b = 6.4192 Å, c = 5.9876 Å
α = 90.00°, β = 90.00°, γ = 90.00°
Positions (direct):
Mg (0.0000, 0.0000, 0.0000)
Mg (0.0000, 0.2322, 0.5844)
Mg (0.0000, 0.7678, 0.5844)
Mg (0.5000, 0.2678, 0.0844)
Mg (0.5000, 0.5000, 0.5000)
Mg (0.5000, 0.7322, 0.0844)
H (0.0000, 0.2333, 0.2348)
H (0.0000, 0.7667, 0.2348)
H (0.2123, 0.5000, 0.9985)
H (0.2877, 0.0000, 0.4985)
H (0.5000, 0.2667, 0.7348)
H (0.5000, 0.7333, 0.7348)
H (0.7123, 0.0000, 0.4985)
H (0.7877, 0.5000, 0.9985)
Ru (0.0000, 0.5000, 0.2267)
Ru (0.5000, 0.0000, 0.7267)

Entry 3:
For B2C3, DFT lattice parameters and positions (PBE) gives the computed powder X-ray diffraction pattern in this record (Cu Kα).

Largest 8 diffraction maxima, low angle first, 2θ = 10–90°:
2θ (°)	d (Å)	I/Imax
14.34	6.178	100
21.58	4.118	24
41.24	2.189	86
43.97	2.059	22
44.09	2.054	17
71.29	1.323	27
71.58	1.318	20
87.69	1.113	15

Structure:
a = 12.4492 Å, b = 12.4492 Å, c = 12.4492 Å
α = 12.20°, β = 12.20°, γ = 12.20°
Positions (direct):
B (0.0000, 0.0000, 0.0000)
B (0.0978, 0.0978, 0.0978)
B (0.2673, 0.2673, 0.2673)
B (0.8725, 0.8725, 0.8725)
C (0.2250, 0.2250, 0.2250)
C (0.4366, 0.4366, 0.4366)
C (0.4821, 0.4821, 0.4821)
C (0.6198, 0.6198, 0.6198)
C (0.6615, 0.6615, 0.6615)
C (0.8289, 0.8289, 0.8289)

Entry 4:
For BaSnHg2, DFT lattice parameters and positions (PBE) gives the computed powder X-ray diffraction pattern in this record (Cu Kα).

Largest 8 diffraction maxima, low angle first, 2θ = 10–90°:
2θ (°)	d (Å)	I/Imax
27.34	3.262	100
27.50	3.244	30
31.21	2.866	32
31.35	2.853	39
31.72	2.821	69
39.77	2.267	39
45.57	1.991	25
53.86	1.702	27

Structure:
a = 6.9252 Å, b = 6.9252 Å, c = 9.7310 Å
α = 90.00°, β = 90.00°, γ = 120.00°
Positions (direct):
Ba (0.0000, 0.5000, 0.3333)
Ba (0.5000, 0.0000, 0.0000)
Ba (0.5000, 0.5000, 0.6667)
Sn (0.0000, 0.0000, 0.1667)
Sn (0.0000, 0.0000, 0.5000)
Sn (0.0000, 0.0000, 0.8333)
Hg (0.2142, 0.4285, 0.0000)
Hg (0.2142, 0.7858, 0.6667)
Hg (0.4285, 0.2142, 0.3333)
Hg (0.5715, 0.7858, 0.3333)
Hg (0.7858, 0.2142, 0.6667)
Hg (0.7858, 0.5715, 0.0000)

Entry 5:
For HfCoSn, DFT lattice parameters and positions (PBE) gives the computed powder X-ray diffraction pattern in this record (Cu Kα).

Largest 8 diffraction maxima, low angle first, 2θ = 10–90°:
2θ (°)	d (Å)	I/Imax
35.64	2.519	100
38.61	2.332	83
44.04	2.056	30
51.28	1.782	15
59.98	1.542	19
66.00	1.415	24
71.77	1.315	21
82.80	1.166	17

Structure:
a = 7.1222 Å, b = 7.1222 Å, c = 7.1270 Å
α = 90.00°, β = 90.00°, γ = 120.00°
Positions (direct):
Hf (0.0078, 0.4007, 0.2500)
Hf (0.3929, 0.9922, 0.2500)
Hf (0.4007, 0.0078, 0.7500)
Hf (0.5993, 0.6071, 0.2500)
Hf (0.6071, 0.5993, 0.7500)
Hf (0.9922, 0.3929, 0.7500)
Co (0.0000, 0.0000, 0.2500)
Co (0.0000, 0.0000, 0.7500)
Co (0.3333, 0.6667, 0.5358)
Co (0.3333, 0.6667, 0.9642)
Co (0.6667, 0.3333, 0.0358)
Co (0.6667, 0.3333, 0.4642)
Sn (0.0000, 0.7319, 0.0000)
Sn (0.0000, 0.7319, 0.5000)
Sn (0.2681, 0.2681, 0.0000)
Sn (0.2681, 0.2681, 0.5000)
Sn (0.7319, 0.0000, 0.0000)
Sn (0.7319, 0.0000, 0.5000)

Entry 6:
For Y5Cu, DFT lattice parameters and positions (PBE) gives the computed powder X-ray diffraction pattern in this record (Cu Kα).

Largest 8 diffraction maxima, low angle first, 2θ = 10–90°:
2θ (°)	d (Å)	I/Imax
28.86	3.094	16
31.31	2.857	14
32.89	2.723	32
33.30	2.690	100
35.48	2.530	28
54.23	1.691	11
58.99	1.566	18
64.90	1.437	13

Structure:
a = 5.4463 Å, b = 3.6804 Å, c = 17.1407 Å
α = 90.00°, β = 90.00°, γ = 90.00°
Positions (direct):
Y (0.0000, 0.0000, 0.0000)
Y (0.0000, 0.0000, 0.3084)
Y (0.0000, 0.5000, 0.5000)
Y (0.0000, 0.5000, 0.8084)
Y (0.5000, 0.0000, 0.1170)
Y (0.5000, 0.0000, 0.4412)
Y (0.5000, 0.0000, 0.7699)
Y (0.5000, 0.5000, 0.2699)
Y (0.5000, 0.5000, 0.6170)
Y (0.5000, 0.5000, 0.9412)
Cu (0.0000, 0.0000, 0.6594)
Cu (0.0000, 0.5000, 0.1594)

Entry 7:
For Ba2IrO4, DFT lattice parameters and positions (PBE) gives the computed powder X-ray diffraction pattern in this record (Cu Kα).

Largest 8 diffraction maxima, low angle first, 2θ = 10–90°:
2θ (°)	d (Å)	I/Imax
14.43	6.136	64
28.21	3.163	27
29.10	3.068	46
31.83	2.812	100
40.98	2.202	16
41.63	2.170	30
53.34	1.718	45
66.51	1.406	14

Structure:
a = 6.1365 Å, b = 6.1365 Å, c = 3.6914 Å
α = 90.00°, β = 90.00°, γ = 90.00°
Positions (direct):
Ba (0.0000, 0.5000, 0.0000)
Ba (0.5000, 0.0000, 0.0000)
Ir (0.0000, 0.0000, 0.5000)
O (0.2226, 0.2226, 0.5000)
O (0.2226, 0.7774, 0.5000)
O (0.7774, 0.2226, 0.5000)
O (0.7774, 0.7774, 0.5000)

Entry 8:
For CaPaS3, DFT lattice parameters and positions (PBE) gives the computed powder X-ray diffraction pattern in this record (Cu Kα).

Largest 8 diffraction maxima, low angle first, 2θ = 10–90°:
2θ (°)	d (Å)	I/Imax
14.38	6.158	100
25.06	3.554	32
29.04	3.074	37
35.77	2.510	41
38.71	2.326	38
46.68	1.946	18
51.42	1.777	15
75.72	1.256	12

Structure:
a = 7.1110 Å, b = 7.1110 Å, c = 7.0903 Å
α = 90.00°, β = 90.00°, γ = 120.00°
Positions (direct):
Ca (0.0000, 0.0000, 0.0000)
Ca (0.0000, 0.0000, 0.5000)
Pa (0.6667, 0.3333, 0.0000)
Pa (0.6667, 0.3333, 0.5000)
S (0.3459, 0.0873, 0.2500)
S (0.3459, 0.2586, 0.7500)
S (0.7414, 0.0873, 0.7500)
S (0.7414, 0.6541, 0.2500)
S (0.9127, 0.2586, 0.2500)
S (0.9127, 0.6541, 0.7500)

Please write out number 1 again, unchanged.
For CoCuSn6, DFT lattice parameters and positions (PBE) gives the computed powder X-ray diffraction pattern in this record (Cu Kα).

Largest 8 diffraction maxima, low angle first, 2θ = 10–90°:
2θ (°)	d (Å)	I/Imax
30.78	2.904	29
32.91	2.722	100
33.00	2.715	48
42.72	2.117	16
42.80	2.113	14
42.90	2.108	15
51.43	1.777	35
56.04	1.641	17

Structure:
a = 6.1539 Å, b = 6.1550 Å, c = 6.7953 Å
α = 63.32°, β = 63.28°, γ = 60.03°
Positions (direct):
Co (0.0000, 0.0000, 0.0000)
Cu (0.5000, 0.5000, 0.5000)
Sn (0.0444, 0.7701, 0.7486)
Sn (0.2353, 0.5636, 0.2459)
Sn (0.4332, 0.0485, 0.7508)
Sn (0.5668, 0.9515, 0.2492)
Sn (0.7647, 0.4364, 0.7541)
Sn (0.9556, 0.2299, 0.2514)